[1]
Structure and theoretical powder XRD pattern of Sr3OsSe6 (a DFT-relaxed cell (GGA-PBE, OQMD); Cu Kα (weighted mean of Kα1 and Kα2)).
No peak broadening, texture or thermal motion is included.

Crystal structure
```
data_Sr3OsSe6
_chemical_formula_sum 'Sr12 Os4 Se24'
_cell_length_a 10.5858
_cell_length_b 10.5858
_cell_length_c 10.5858
_cell_angle_alpha 90.00
_cell_angle_beta 90.00
_cell_angle_gamma 90.00
_symmetry_space_group_name_H-M 'F m -3 m'
_symmetry_Int_Tables_number 225
_symmetry_space_group_name_Hall '-F 4 2 3'
loop_
_atom_site_label
_atom_site_type_symbol
_atom_site_fract_x
_atom_site_fract_y
_atom_site_fract_z
Sr1 Sr 0.0000 0.0000 0.0000
Sr2 Sr 0.2500 0.2500 0.2500
Os1 Os 0.0000 0.0000 0.5000
Se1 Se 0.0000 0.0000 0.2679
```

The 10 most intense peaks (2θ from 10° to 90°), low angle first:
| 2θ (°) | Rel. int. |
| --- | --- |
| 14.5 | 278 |
| 16.8 | 463 |
| 23.8 | 526 |
| 29.2 | 325 |
| 33.9 | 1000 |
| 38.0 | 210 |
| 41.8 | 217 |
| 48.7 | 687 |
| 60.6 | 228 |
| 81.3 | 280 |

[2]
Structure and theoretical powder XRD pattern of Si2Os (a DFT-relaxed cell (GGA-PBE, OQMD); Cu Kα (weighted mean of Kα1 and Kα2)).
No peak broadening, texture or thermal motion is included.

Crystal structure
```
data_Si2Os
_chemical_formula_sum 'Si32 Os16'
_cell_length_a 10.2107
_cell_length_b 8.1452
_cell_length_c 8.2648
_cell_angle_alpha 90.00
_cell_angle_beta 90.00
_cell_angle_gamma 90.00
_symmetry_space_group_name_H-M 'C m c e'
_symmetry_Int_Tables_number 64
_symmetry_space_group_name_Hall '-C 2ac 2'
loop_
_atom_site_label
_atom_site_type_symbol
_atom_site_fract_x
_atom_site_fract_y
_atom_site_fract_z
Si1 Si 0.1269 0.0525 0.2243
Si2 Si 0.1280 0.2223 0.9416
Os1 Os 0.0000 0.1885 0.6822
Os2 Os 0.2154 0.0000 0.5000
```

The 10 most intense peaks (2θ from 10° to 90°), low angle first:
| 2θ (°) | Rel. int. |
| --- | --- |
| 25.7 | 311 |
| 27.8 | 961 |
| 28.0 | 1000 |
| 30.1 | 261 |
| 30.8 | 310 |
| 35.9 | 276 |
| 44.0 | 262 |
| 46.2 | 269 |
| 47.4 | 543 |
| 49.4 | 262 |

[3]
Structure and theoretical powder XRD pattern of Si3Os2 (a DFT-relaxed cell (GGA-PBE, OQMD); Cu Kα (weighted mean of Kα1 and Kα2)).
No peak broadening, texture or thermal motion is included.

Crystal structure
```
data_Si3Os2
_chemical_formula_sum 'Si12 Os8'
_cell_length_a 5.6428
_cell_length_b 5.6428
_cell_length_c 8.9300
_cell_angle_alpha 90.00
_cell_angle_beta 90.00
_cell_angle_gamma 90.00
_symmetry_space_group_name_H-M 'P -4 c 2'
_symmetry_Int_Tables_number 116
loop_
_symmetry_equiv_pos_as_xyz
'x,y,z'
'y,-x,-z'
'-x,-y,z'
'-y,x,-z'
'-x,y,z+1/2'
'-y,-x,-z+1/2'
'x,-y,z+1/2'
'y,x,-z+1/2'
loop_
_atom_site_label
_atom_site_type_symbol
_atom_site_fract_x
_atom_site_fract_y
_atom_site_fract_z
Si1 Si 0.1439 0.2934 0.4097
Si2 Si 0.3317 0.3317 0.7500
Os1 Os 0.0000 0.0000 0.2500
Os2 Os 0.0000 0.5000 0.1284
Os3 Os 0.5000 0.5000 0.0000
```

The 10 most intense peaks (2θ from 10° to 90°), low angle first:
| 2θ (°) | Rel. int. |
| --- | --- |
| 25.4 | 1000 |
| 31.7 | 561 |
| 41.1 | 845 |
| 45.5 | 304 |
| 46.6 | 551 |
| 52.8 | 252 |
| 62.9 | 164 |
| 67.2 | 302 |
| 72.2 | 141 |
| 75.3 | 144 |

[4]
Structure and theoretical powder XRD pattern of SmTmSi4Os2 (a DFT-relaxed cell (GGA-PBE, OQMD); Cu Kα (weighted mean of Kα1 and Kα2)).
No peak broadening, texture or thermal motion is included.

Crystal structure
```
data_SmTmSi4Os2
_chemical_formula_sum 'Sm1 Tm1 Si4 Os2'
_cell_length_a 4.4332
_cell_length_b 4.0975
_cell_length_c 8.1449
_cell_angle_alpha 90.00
_cell_angle_beta 101.86
_cell_angle_gamma 90.00
_symmetry_space_group_name_H-M 'P 1 m 1'
_symmetry_Int_Tables_number 6
loop_
_symmetry_equiv_pos_as_xyz
'x,y,z'
'x,-y,z'
loop_
_atom_site_label
_atom_site_type_symbol
_atom_site_fract_x
_atom_site_fract_y
_atom_site_fract_z
Sm1 Sm 0.0000 0.0000 0.0000
Tm1 Tm 0.8209 0.5000 0.5946
Si1 Si 0.0820 0.5000 0.2976
Si2 Si 0.3786 0.0000 0.7114
Si3 Si 0.4523 0.5000 0.8906
Si4 Si 0.7547 0.0000 0.3088
Os1 Os 0.3033 0.0000 0.4183
Os2 Os 0.5340 0.5000 0.1871
```

The 10 most intense peaks (2θ from 10° to 90°), low angle first:
| 2θ (°) | Rel. int. |
| --- | --- |
| 11.1 | 671 |
| 30.0 | 509 |
| 30.5 | 1000 |
| 31.3 | 783 |
| 33.5 | 846 |
| 35.8 | 553 |
| 40.5 | 509 |
| 40.8 | 287 |
| 44.2 | 396 |
| 58.2 | 276 |

[5]
Structure and theoretical powder XRD pattern of SmYSi2Os (a DFT-relaxed cell (GGA-PBE, OQMD); Cu Kα (weighted mean of Kα1 and Kα2)).
No peak broadening, texture or thermal motion is included.

Crystal structure
```
data_SmYSi2Os
_chemical_formula_sum 'Sm4 Y4 Si8 Os4'
_cell_length_a 10.7808
_cell_length_b 4.2451
_cell_length_c 10.1390
_cell_angle_alpha 90.00
_cell_angle_beta 119.03
_cell_angle_gamma 90.00
_symmetry_space_group_name_H-M 'C 1 2/m 1'
_symmetry_Int_Tables_number 12
loop_
_symmetry_equiv_pos_as_xyz
'x,y,z'
'-x,-y,-z'
'-x,y,-z'
'x,-y,z'
'x+1/2,y+1/2,z'
'-x+1/2,-y+1/2,-z'
'-x+1/2,y+1/2,-z'
'x+1/2,-y+1/2,z'
loop_
_atom_site_label
_atom_site_type_symbol
_atom_site_fract_x
_atom_site_fract_y
_atom_site_fract_z
Sm1 Sm 0.1881 0.0000 0.1110
Y1 Y 0.0069 0.0000 0.6770
Si1 Si 0.0006 0.5000 0.8727
Si2 Si 0.1458 0.5000 0.5596
Os1 Os 0.2297 0.5000 0.3748
```

The 10 most intense peaks (2θ from 10° to 90°), low angle first:
| 2θ (°) | Rel. int. |
| --- | --- |
| 16.5 | 283 |
| 18.8 | 456 |
| 27.4 | 793 |
| 33.3 | 696 |
| 33.6 | 1000 |
| 34.3 | 325 |
| 35.4 | 263 |
| 36.7 | 527 |
| 40.8 | 756 |
| 42.6 | 456 |

[6]
Structure and theoretical powder XRD pattern of Sm2TaOs (a DFT-relaxed cell (GGA-PBE, OQMD); Cu Kα (weighted mean of Kα1 and Kα2)).
No peak broadening, texture or thermal motion is included.

Crystal structure
```
data_Sm2TaOs
_chemical_formula_sum 'Sm8 Ta4 Os4'
_cell_length_a 19.9903
_cell_length_b 3.1076
_cell_length_c 6.1262
_cell_angle_alpha 90.00
_cell_angle_beta 103.16
_cell_angle_gamma 90.00
_symmetry_space_group_name_H-M 'C 1 2/m 1'
_symmetry_Int_Tables_number 12
loop_
_symmetry_equiv_pos_as_xyz
'x,y,z'
'-x,-y,-z'
'-x,y,-z'
'x,-y,z'
'x+1/2,y+1/2,z'
'-x+1/2,-y+1/2,-z'
'-x+1/2,y+1/2,-z'
'x+1/2,-y+1/2,z'
loop_
_atom_site_label
_atom_site_type_symbol
_atom_site_fract_x
_atom_site_fract_y
_atom_site_fract_z
Sm1 Sm 0.1219 0.0000 0.3740
Sm2 Sm 0.1555 0.5000 0.9001
Ta1 Ta 0.0000 0.0000 0.0000
Ta2 Ta 0.0000 0.5000 0.5000
Os1 Os 0.2483 0.0000 0.6713
```

The 10 most intense peaks (2θ from 10° to 90°), low angle first:
| 2θ (°) | Rel. int. |
| --- | --- |
| 33.4 | 393 |
| 34.0 | 1000 |
| 34.3 | 104 |
| 36.0 | 314 |
| 37.0 | 302 |
| 42.1 | 424 |
| 46.6 | 94 |
| 54.0 | 162 |
| 59.0 | 102 |
| 59.5 | 112 |

[7]
Structure and theoretical powder XRD pattern of Sn4Os (a DFT-relaxed cell (GGA-PBE, OQMD); Cu Kα (weighted mean of Kα1 and Kα2)).
No peak broadening, texture or thermal motion is included.

Crystal structure
```
data_Sn4Os
_chemical_formula_sum 'Sn32 Os8'
_cell_length_a 6.3781
_cell_length_b 6.3781
_cell_length_c 23.2251
_cell_angle_alpha 90.00
_cell_angle_beta 90.00
_cell_angle_gamma 90.00
_symmetry_space_group_name_H-M 'I 41/a c d'
_symmetry_Int_Tables_number 142
loop_
_symmetry_equiv_pos_as_xyz
'x,y,z'
'-x,-y,-z'
'-y+1/4,x+3/4,z+1/4'
'y+1/4,-x+3/4,-z+1/4'
'-x+1/2,-y,z+1/2'
'x+1/2,y,-z+1/2'
'y+1/4,-x+1/4,z+3/4'
'-y+1/4,x+1/4,-z+3/4'
'x,-y,-z+1/2'
'-x,y,z+1/2'
'-y+1/4,-x+1/4,-z+1/4'
'y+1/4,x+1/4,z+1/4'
'-x+1/2,y,-z'
'x+1/2,-y,z'
'y+1/4,x+3/4,-z+3/4'
'-y+1/4,-x+3/4,z+3/4'
'x+1/2,y+1/2,z+1/2'
'-x+1/2,-y+1/2,-z+1/2'
'-y+3/4,x+1/4,z+3/4'
'y+3/4,-x+1/4,-z+3/4'
'-x,-y+1/2,z'
'x,y+1/2,-z'
'y+3/4,-x+3/4,z+1/4'
'-y+3/4,x+3/4,-z+1/4'
'x+1/2,-y+1/2,-z'
'-x+1/2,y+1/2,z'
'-y+3/4,-x+3/4,-z+3/4'
'y+3/4,x+3/4,z+3/4'
'-x,y+1/2,-z+1/2'
'x,-y+1/2,z+1/2'
'y+3/4,x+1/4,-z+1/4'
'-y+3/4,-x+1/4,z+1/4'
loop_
_atom_site_label
_atom_site_type_symbol
_atom_site_fract_x
_atom_site_fract_y
_atom_site_fract_z
Sn1 Sn 0.1763 0.0740 0.3120
Os1 Os 0.0000 0.2500 0.1250
```

The 10 most intense peaks (2θ from 10° to 90°), low angle first:
| 2θ (°) | Rel. int. |
| --- | --- |
| 15.3 | 434 |
| 21.1 | 355 |
| 30.4 | 684 |
| 32.0 | 329 |
| 33.5 | 850 |
| 37.0 | 640 |
| 40.0 | 329 |
| 42.1 | 1000 |
| 45.7 | 789 |
| 66.7 | 347 |

[8]
Structure and theoretical powder XRD pattern of Sn4Os3 (a DFT-relaxed cell (GGA-PBE, OQMD); Cu Kα (weighted mean of Kα1 and Kα2)).
No peak broadening, texture or thermal motion is included.

Crystal structure
```
data_Sn4Os3
_chemical_formula_sum 'Sn12 Os9'
_cell_length_a 3.2079
_cell_length_b 3.2079
_cell_length_c 44.4892
_cell_angle_alpha 90.00
_cell_angle_beta 90.00
_cell_angle_gamma 120.00
_symmetry_space_group_name_H-M 'R -3 m'
_symmetry_Int_Tables_number 166
_symmetry_space_group_name_Hall '-R 3 2"'
loop_
_atom_site_label
_atom_site_type_symbol
_atom_site_fract_x
_atom_site_fract_y
_atom_site_fract_z
Sn1 Sn 0.0000 0.0000 0.1371
Sn2 Sn 0.0000 0.0000 0.2870
Os1 Os 0.0000 0.0000 0.0000
Os2 Os 0.0000 0.0000 0.4258
```

The 10 most intense peaks (2θ from 10° to 90°), low angle first:
| 2θ (°) | Rel. int. |
| --- | --- |
| 17.9 | 55 |
| 35.3 | 1000 |
| 42.7 | 168 |
| 43.3 | 538 |
| 57.5 | 257 |
| 68.0 | 112 |
| 69.2 | 146 |
| 74.1 | 205 |
| 74.6 | 112 |
| 83.7 | 54 |

[9]
Structure and theoretical powder XRD pattern of TaSnOs2 (a DFT-relaxed cell (GGA-PBE, OQMD); Cu Kα (weighted mean of Kα1 and Kα2)).
No peak broadening, texture or thermal motion is included.

Crystal structure
```
data_TaSnOs2
_chemical_formula_sum 'Ta4 Sn4 Os8'
_cell_length_a 6.4496
_cell_length_b 6.4496
_cell_length_c 6.4496
_cell_angle_alpha 90.00
_cell_angle_beta 90.00
_cell_angle_gamma 90.00
_symmetry_space_group_name_H-M 'F -4 3 m'
_symmetry_Int_Tables_number 216
_symmetry_space_group_name_Hall 'F -4 2 3'
loop_
_atom_site_label
_atom_site_type_symbol
_atom_site_fract_x
_atom_site_fract_y
_atom_site_fract_z
Ta1 Ta 0.0000 0.0000 0.0000
Sn1 Sn 0.2500 0.2500 0.7500
Os1 Os 0.0000 0.0000 0.5000
Os2 Os 0.2500 0.2500 0.2500
```

The 7 most intense peaks (2θ from 10° to 90°), low angle first:
| 2θ (°) | Rel. int. |
| --- | --- |
| 23.9 | 23 |
| 27.7 | 9 |
| 39.5 | 1000 |
| 46.7 | 11 |
| 57.1 | 173 |
| 71.7 | 357 |
| 85.1 | 117 |

[10]
Structure and theoretical powder XRD pattern of Sn8TeOs2 (a DFT-relaxed cell (GGA-PBE, OQMD); Cu Kα (weighted mean of Kα1 and Kα2)).
No peak broadening, texture or thermal motion is included.

Crystal structure
```
data_Sn8TeOs2
_chemical_formula_sum 'Sn32 Te4 Os8'
_cell_length_a 10.3573
_cell_length_b 10.3573
_cell_length_c 10.1940
_cell_angle_alpha 90.00
_cell_angle_beta 90.00
_cell_angle_gamma 90.00
_symmetry_space_group_name_H-M 'P 42/m n m'
_symmetry_Int_Tables_number 136
_symmetry_space_group_name_Hall '-P 4n 2n'
loop_
_atom_site_label
_atom_site_type_symbol
_atom_site_fract_x
_atom_site_fract_y
_atom_site_fract_z
Sn1 Sn 0.0000 0.0000 0.1528
Sn2 Sn 0.0582 0.2925 0.2997
Sn3 Sn 0.0934 0.9066 0.5000
Sn4 Sn 0.2054 0.2054 0.0000
Sn5 Sn 0.2056 0.7944 0.0000
Te1 Te 0.0000 0.5000 0.0000
Os1 Os 0.1766 0.8234 0.2595
```

The 10 most intense peaks (2θ from 10° to 90°), low angle first:
| 2θ (°) | Rel. int. |
| --- | --- |
| 19.2 | 383 |
| 30.0 | 430 |
| 32.7 | 816 |
| 35.2 | 381 |
| 35.7 | 597 |
| 36.8 | 416 |
| 40.0 | 1000 |
| 41.0 | 318 |
| 45.1 | 298 |
| 63.9 | 313 |

[11]
Structure and theoretical powder XRD pattern of ZrSn2Os (a DFT-relaxed cell (GGA-PBE, OQMD); Cu Kα (weighted mean of Kα1 and Kα2)).
No peak broadening, texture or thermal motion is included.

Crystal structure
```
data_ZrSn2Os
_chemical_formula_sum 'Zr4 Sn8 Os4'
_cell_length_a 6.8852
_cell_length_b 6.8852
_cell_length_c 6.8852
_cell_angle_alpha 90.00
_cell_angle_beta 90.00
_cell_angle_gamma 90.00
_symmetry_space_group_name_H-M 'F -4 3 m'
_symmetry_Int_Tables_number 216
_symmetry_space_group_name_Hall 'F -4 2 3'
loop_
_atom_site_label
_atom_site_type_symbol
_atom_site_fract_x
_atom_site_fract_y
_atom_site_fract_z
Zr1 Zr 0.0000 0.0000 0.0000
Sn1 Sn 0.0000 0.0000 0.5000
Sn2 Sn 0.2500 0.2500 0.2500
Os1 Os 0.2500 0.2500 0.7500
```

The 10 most intense peaks (2θ from 10° to 90°), low angle first:
| 2θ (°) | Rel. int. |
| --- | --- |
| 22.4 | 42 |
| 25.9 | 38 |
| 36.9 | 1000 |
| 43.6 | 23 |
| 45.6 | 12 |
| 53.2 | 177 |
| 58.4 | 10 |
| 60.1 | 17 |
| 66.5 | 366 |
| 78.6 | 116 |

[12]
Structure and theoretical powder XRD pattern of TaOs3 (a DFT-relaxed cell (GGA-PBE, OQMD); Cu Kα (weighted mean of Kα1 and Kα2)).
No peak broadening, texture or thermal motion is included.

Crystal structure
```
data_TaOs3
_chemical_formula_sum 'Ta4 Os12'
_cell_length_a 4.8620
_cell_length_b 5.5360
_cell_length_c 9.1353
_cell_angle_alpha 90.00
_cell_angle_beta 100.59
_cell_angle_gamma 90.00
_symmetry_space_group_name_H-M 'P 1 21/m 1'
_symmetry_Int_Tables_number 11
loop_
_symmetry_equiv_pos_as_xyz
'x,y,z'
'-x,-y,-z'
'-x,y+1/2,-z'
'x,-y+1/2,z'
loop_
_atom_site_label
_atom_site_type_symbol
_atom_site_fract_x
_atom_site_fract_y
_atom_site_fract_z
Ta1 Ta 0.1061 0.2500 0.3797
Ta2 Ta 0.2919 0.2500 0.8707
Os1 Os 0.1327 0.7500 0.3752
Os2 Os 0.2068 0.0051 0.1243
Os3 Os 0.2929 0.7500 0.8761
Os4 Os 0.3861 0.0000 0.6241
```

The 10 most intense peaks (2θ from 10° to 90°), low angle first:
| 2θ (°) | Rel. int. |
| --- | --- |
| 37.6 | 250 |
| 38.0 | 413 |
| 40.2 | 813 |
| 40.8 | 586 |
| 41.0 | 1000 |
| 43.9 | 491 |
| 44.5 | 834 |
| 66.9 | 357 |
| 81.2 | 213 |
| 81.7 | 213 |

Q: What is the formula in the fourth record?
A: SmTmSi4Os2